[1]
For MgSc5Ag3, a DFT-relaxed cell (GGA-PBE, Alexandria) gives the theoretical powder X-ray diffraction pattern in this record (a wavelength of 1.5418 Å).

Peak list (8 most intense, 2θ = 10–90°, by angle)
d = 3.500 Å, 25.45°, I = 461
d = 3.083 Å, 28.97°, I = 235
d = 2.496 Å, 35.99°, I = 756
d = 2.454 Å, 36.61°, I = 1000
d = 1.920 Å, 47.35°, I = 342
d = 1.750 Å, 52.28°, I = 239
d = 1.425 Å, 65.51°, I = 229
d = 1.305 Å, 72.40°, I = 239

Cell and atoms:
Cell lengths 8.5018, 8.5018, 6.1653 Å; angles 90.00, 90.00, 120.00 degrees
Positions (direct):
Mg1 0.0000 0.0000 0.0000
Mg2 0.0000 0.0000 0.5000
Sc1 0.0000 0.3301 0.2500
Sc2 0.0000 0.6699 0.7500
Sc3 0.3301 0.0000 0.2500
Sc4 0.3301 0.3301 0.7500
Sc5 0.3333 0.6667 0.0000
Sc6 0.3333 0.6667 0.5000
Sc7 0.6667 0.3333 0.0000
Sc8 0.6667 0.3333 0.5000
Sc9 0.6699 0.0000 0.7500
Sc10 0.6699 0.6699 0.2500
Ag1 0.0000 0.3407 0.7500
Ag2 0.0000 0.6593 0.2500
Ag3 0.3407 0.0000 0.7500
Ag4 0.3407 0.3407 0.2500
Ag5 0.6593 0.0000 0.2500
Ag6 0.6593 0.6593 0.7500

---

[2]
For La7Tb4Pr2, a DFT-relaxed cell (GGA-PBE, Alexandria) gives the theoretical powder X-ray diffraction pattern in this record (a wavelength of 1.5418 Å).

Peak list (8 most intense, 2θ = 10–90°, by angle)
d = 3.296 Å, 27.06°, I = 244
d = 3.168 Å, 28.17°, I = 215
d = 3.080 Å, 28.99°, I = 393
d = 2.855 Å, 31.33°, I = 1000
d = 2.825 Å, 31.67°, I = 229
d = 2.570 Å, 34.91°, I = 281
d = 1.829 Å, 49.85°, I = 274
d = 1.805 Å, 50.56°, I = 173

Cell and atoms:
Cell lengths 6.3364, 6.3364, 13.1823 Å; angles 90.00, 90.00, 120.00 degrees
Positions (direct):
La1 0.0000 0.0000 0.0000
La2 0.0000 0.3814 0.2312
La3 0.0000 0.6186 0.7688
La4 0.3814 0.0000 0.2312
La5 0.3814 0.3814 0.7688
La6 0.6186 0.0000 0.7688
La7 0.6186 0.6186 0.2312
Tb1 0.0000 0.0000 0.3898
Tb2 0.0000 0.0000 0.6102
Tb3 0.3333 0.6667 0.5000
Tb4 0.6667 0.3333 0.5000
Pr1 0.3333 0.6667 0.0000
Pr2 0.6667 0.3333 0.0000